This entry pairs a crystal structure of BiPd3 with its simulated PXRD pattern. Radiation: Cu Ka. Structure: the GGA-PBE geometry in the Materials Project.

Structure:
Lattice parameters (Å, degrees): 6.6104 6.6104 6.6104 90.00 90.00 90.00
Space group Fm-3m (No. 225)
Unique sites:
Bi  0.0000  0.0000  0.0000 [4 per cell]
Pd  0.0000  0.0000  0.5000 [4 per cell]
Pd  0.2500  0.2500  0.2500 [8 per cell]

The 10 most intense peaks (2θ from 10° to 90°), in order of rising 2θ:
| 2θ/deg | d [Å] | I/Imax | (hkl) |
| --- | --- | --- | --- |
| 23.31 | 3.817 | 8 | 1 1 1 |
| 26.98 | 3.305 | 4 | 2 0 0 |
| 38.52 | 2.337 | 100 | 2 2 0 |
| 45.51 | 1.993 | 5 | 3 1 1 |
| 55.61 | 1.653 | 17 | 4 0 0 |
| 61.11 | 1.517 | 2 | 3 3 1 |
| 62.87 | 1.478 | 2 | 4 2 0 |
| 69.69 | 1.349 | 35 | 4 2 2 |
| 82.56 | 1.169 | 11 | 4 4 0 |
| 87.25 | 1.117 | 2 | 5 3 1 |


This entry pairs a crystal structure of Ba4Cu3SnO9 with its simulated PXRD pattern. Radiation: Cu Ka. Structure: the GGA-PBE geometry in the Materials Project.

Structure:
Lattice parameters (Å, degrees): 8.0853 8.0853 8.0853 90.00 90.00 90.00
Space group Pm-3n (No. 223)
Unique sites:
Ba  0.2500  0.2500  0.2500 [8 per cell]
Cu  0.0000  0.0000  0.5000 [6 per cell]
Sn  0.0000  0.0000  0.0000 [2 per cell]
O  0.0000  0.0000  0.2606 [12 per cell]
O  0.0000  0.2500  0.5000 [6 per cell]

The 10 most intense peaks (2θ from 10° to 90°), in order of rising 2θ:
| 2θ/deg | d [Å] | I/Imax | (hkl) |
| --- | --- | --- | --- |
| 15.50 | 5.717 | 3 | 1 1 0 |
| 21.99 | 4.043 | 4 | 2 0 0 |
| 31.29 | 2.859 | 100 | 2 2 0 |
| 38.57 | 2.334 | 7 | 2 2 2 |
| 44.84 | 2.021 | 28 | 4 0 0 |
| 55.69 | 1.650 | 39 | 4 2 2 |
| 65.28 | 1.429 | 17 | 4 4 0 |
| 74.18 | 1.278 | 17 | 6 2 0 |
| 78.46 | 1.219 | 2 | 6 2 2 |
| 82.69 | 1.167 | 6 | 4 4 4 |


This entry pairs a crystal structure of LuB2Ru3 with its simulated PXRD pattern. Radiation: Cu Ka. Structure: the GGA-PBE geometry in the Materials Project.

Structure:
Lattice parameters (Å, degrees): 5.4765 5.4765 3.0272 90.00 90.00 120.00
Space group P6/mmm (No. 191)
Unique sites:
Lu  0.0000  0.0000  0.0000 [1 per cell]
B  0.3333  0.6667  0.0000 [2 per cell]
Ru  0.0000  0.5000  0.5000 [3 per cell]

The 10 most intense peaks (2θ from 10° to 90°), in order of rising 2θ:
| 2θ/deg | d [Å] | I/Imax | (hkl) |
| --- | --- | --- | --- |
| 35.17 | 2.552 | 79 | 1 0 1 |
| 37.94 | 2.371 | 100 | 2 0 0 |
| 44.62 | 2.031 | 47 | 1 1 1 |
| 59.97 | 1.542 | 34 | 2 1 1 |
| 61.24 | 1.514 | 9 | 0 0 2 |
| 66.75 | 1.401 | 14 | 3 0 1 |
| 68.54 | 1.369 | 19 | 2 2 0 |
| 74.35 | 1.276 | 27 | 2 0 2 |
| 79.44 | 1.206 | 15 | 3 1 1 |
| 81.11 | 1.186 | 11 | 4 0 0 |


This entry pairs a crystal structure of NaY9Si6O26 with its simulated PXRD pattern. Radiation: Cu Ka. Structure: the GGA-PBE geometry in the Materials Project.

Structure:
Lattice parameters (Å, degrees): 9.4536 9.4536 6.8341 90.00 90.00 120.00
Space group P3 (No. 143)
Unique sites:
Na  0.0000  0.0000  0.0000 [1 per cell]
Y  0.0000  0.0000  0.5057 [1 per cell]
Y  0.3333  0.6667  0.0048 [1 per cell]
Y  0.3333  0.6667  0.5017 [1 per cell]
Y  0.4283  0.0991  0.7542 [3 per cell]
Y  0.4318  0.3322  0.2527 [3 per cell]
Si  0.0395  0.3049  0.2532 [3 per cell]
Si  0.0640  0.7041  0.7509 [3 per cell]
O  0.0100  0.5837  0.9444 [3 per cell]
O  0.0107  0.5783  0.5619 [3 per cell]
O  0.0669  0.8556  0.2675 [3 per cell]
O  0.1599  0.5047  0.2524 [3 per cell]
O  0.1850  0.1646  0.7417 [3 per cell]
O  0.1972  0.4641  0.7538 [3 per cell]
O  0.3291  0.0842  0.4440 [3 per cell]
O  0.3401  0.0873  0.0677 [3 per cell]
O  0.6667  0.3333  0.2576 [1 per cell]
O  0.6667  0.3333  0.7544 [1 per cell]

The 10 most intense peaks (2θ from 10° to 90°), in order of rising 2θ:
| 2θ/deg | d [Å] | I/Imax | (hkl) |
| --- | --- | --- | --- |
| 21.71 | 4.094 | 23 | 2 0 0 |
| 28.30 | 3.153 | 28 | 1 0 2 |
| 28.85 | 3.094 | 28 | 2 1 0 |
| 31.74 | 2.819 | 100 | 2 1 1 |
| 32.33 | 2.769 | 38 | 1 1 2 |
| 32.82 | 2.729 | 28 | 3 0 0 |
| 46.73 | 1.944 | 28 | 2 2 2 |
| 49.70 | 1.835 | 34 | 3 -2 3 |
| 51.13 | 1.787 | 20 | 1 4 0 |
| 52.09 | 1.756 | 23 | 4 0 2 |


This entry pairs a crystal structure of K2RuO5 with its simulated PXRD pattern. Radiation: Cu Ka. Structure: the GGA-PBE geometry in the Materials Project.

Structure:
Lattice parameters (Å, degrees): 6.7186 8.0472 10.6030 90.00 90.00 90.00
Space group P2_12_12_1 (No. 19)
Unique sites:
K  0.0253  0.2466  0.3057 [4 per cell]
K  0.1223  0.6093  0.5422 [4 per cell]
Ru  0.0847  0.0630  0.6187 [4 per cell]
O  0.0100  0.9688  0.4680 [4 per cell]
O  0.1350  0.2592  0.5497 [4 per cell]
O  0.1550  0.1330  0.7755 [4 per cell]
O  0.1612  0.5215  0.8217 [4 per cell]
O  0.2043  0.0783  0.1216 [4 per cell]

The 10 most intense peaks (2θ from 10° to 90°), in order of rising 2θ:
| 2θ/deg | d [Å] | I/Imax | (hkl) |
| --- | --- | --- | --- |
| 15.61 | 5.675 | 38 | 1 0 1 |
| 19.14 | 4.638 | 74 | 1 1 1 |
| 20.06 | 4.427 | 100 | 0 1 2 |
| 21.35 | 4.162 | 46 | 1 0 2 |
| 23.65 | 3.762 | 36 | 0 2 1 |
| 25.81 | 3.452 | 61 | 1 2 0 |
| 27.17 | 3.282 | 81 | 1 2 1 |
| 27.86 | 3.203 | 67 | 2 0 1 |
| 28.54 | 3.128 | 41 | 1 0 3 |
| 39.99 | 2.255 | 37 | 1 3 2 |


This entry pairs a crystal structure of CaTiSi2O6 with its simulated PXRD pattern. Radiation: Cu Ka. Structure: the GGA-PBE geometry in the Materials Project.

Structure:
Lattice parameters (Å, degrees): 10.2451 9.0545 5.2602 90.00 104.88 90.00
Space group C2/c (No. 15)
Unique sites:
Ca  0.0000  0.2020  0.2500 [4 per cell]
Ti  0.0000  0.4213  0.7500 [4 per cell]
Si  0.2080  0.0954  0.7657 [8 per cell]
O  0.1279  0.4037  0.1521 [8 per cell]
O  0.1319  0.2487  0.6746 [8 per cell]
O  0.1493  0.0189  0.0058 [8 per cell]

The 10 most intense peaks (2θ from 10° to 90°), in order of rising 2θ:
| 2θ/deg | d [Å] | I/Imax | (hkl) |
| --- | --- | --- | --- |
| 28.79 | 3.101 | 41 | 3 1 0 |
| 29.33 | 3.045 | 100 | 2 2 -1 |
| 29.91 | 2.987 | 21 | 3 1 -1 |
| 34.58 | 2.594 | 81 | 2 2 1 |
| 35.31 | 2.542 | 43 | 0 0 2 |
| 41.35 | 2.184 | 37 | 3 3 -1 |
| 44.02 | 2.057 | 25 | 4 0 -2 |
| 54.47 | 1.684 | 17 | 5 3 -1 |
| 56.47 | 1.630 | 17 | 2 2 -3 |
| 62.62 | 1.483 | 24 | 5 3 1 |